Record 1
This entry pairs a crystal structure of K3Np2TiSe6 with its theoretical powder XRD pattern. Radiation: Cu Ka. Structure: a PBE-relaxed structure.
No peak broadening, texture or thermal motion is included.

Largest 10 diffraction maxima, low angle first, 10° ≤ 2θ ≤ 90°:
2θ 11.49, I = 69.9
2θ 25.31, I = 14.1
2θ 29.47, I = 100.0
2θ 37.14, I = 23.0
2θ 40.21, I = 34.4
2θ 44.06, I = 34.5
2θ 45.68, I = 15.7
2θ 50.45, I = 13.3
2θ 53.90, I = 17.4
2θ 72.07, I = 14.1

Crystal structure
Lattice parameters (Å, degrees): 7.121 7.121 8.061 98.49 98.49 120.01
Atoms (fractional coordinates):
K  0.000  0.000  0.000
K  0.331  0.669  0.000
K  0.669  0.331  0.000
Np  0.166  0.834  0.500
Np  0.834  0.166  0.500
Ti  0.500  0.500  0.500
Se  0.117  0.433  0.299
Se  0.252  0.252  0.702
Se  0.433  0.117  0.299
Se  0.567  0.883  0.701
Se  0.748  0.748  0.298
Se  0.883  0.567  0.701

Record 2
This entry pairs a crystal structure of K2Tb2NpTe6 with its theoretical powder XRD pattern. Radiation: Cu Ka. Structure: a PBE-relaxed structure.
No peak broadening, texture or thermal motion is included.

Largest 10 diffraction maxima, low angle first, 10° ≤ 2θ ≤ 90°:
2θ 10.49, I = 100.0
2θ 23.40, I = 17.5
2θ 27.07, I = 47.2
2θ 27.17, I = 93.4
2θ 34.08, I = 23.9
2θ 36.76, I = 33.2
2θ 36.87, I = 16.8
2θ 40.64, I = 50.8
2θ 42.08, I = 22.4
2θ 49.53, I = 17.9

Crystal structure
Lattice parameters (Å, degrees): 7.689 7.689 8.826 98.48 98.48 119.95
Atoms (fractional coordinates):
K  0.168  0.832  0.000
K  0.832  0.168  0.000
Tb  0.333  0.667  0.500
Tb  0.667  0.333  0.500
Np  0.000  0.000  0.500
Te  0.072  0.399  0.707
Te  0.261  0.261  0.294
Te  0.399  0.072  0.707
Te  0.601  0.928  0.293
Te  0.739  0.739  0.706
Te  0.928  0.601  0.293